Simulated XRD peak list of Na3Tl2Te4 for λ = 1.5418 Å (Cu Kα), from a crystal structure in Alexandria, relaxed with GGA-PBE.

Largest 6 diffraction maxima, sorted by position, 10 to 90 degrees two-theta:
(hkl)	Position (°2θ)	d [Å]	I (rel.)
0 1 0	14.34	6.177	81
1 0 -2	22.76	3.908	74
0 2 -1	26.88	3.316	67
1 0 2	30.06	2.973	71
1 -2 0	31.54	2.837	100
1 2 0	35.22	2.548	69

Crystal structure
Unit cell a=5.631 b=6.635 c=9.445 alpha=110.38 beta=104.38 gamma=91.47
Sites, in units of the cell vectors:
Na 0.000 0.000 0.000
Na 0.363 0.109 0.716
Na 0.637 0.891 0.284
Tl 0.181 0.634 0.390
Tl 0.819 0.366 0.610
Te 0.185 0.142 0.374
Te 0.235 0.544 0.968
Te 0.765 0.456 0.032
Te 0.815 0.858 0.626